# Ta3PbO8F2
Computed XRD peak list, CuKα. Input: a crystal structure in Alexandria, relaxed with PBE.
Lines closer than 0.1° are merged.

Atomic structure:
```
Ta3PbO8F2
1.0
3.0799 1.7782 7.2653
-3.0799 1.7782 7.2653
0.0000 -3.5564 7.2653
Ta Pb O F
3 1 8 2
Direct
0.0041 0.4979 0.4979
0.4979 0.0041 0.4979
0.4979 0.4979 0.0041
0.8802 0.8802 0.8802
0.2271 0.2271 0.6768
0.2271 0.6768 0.2271
0.2824 0.2824 0.2824
0.3056 0.7752 0.7752
0.6768 0.2271 0.2271
0.7136 0.7136 0.7136
0.7752 0.3056 0.7752
0.7752 0.7752 0.3056
0.1718 0.1718 0.1718
0.5062 0.5062 0.5062
```

The 6 most intense peaks (10 to 90 degrees two-theta), by angle:
d_spacing, Rel. int.
7.265, 100.0
4.791, 31.5
3.812, 40.6
2.836, 39.7
2.648, 47.9
2.026, 30.8